No. 1
Diffraction record for BaLiTl5. The X-ray diffraction stick pattern is simulated, not measured: it uses a crystal structure in Alexandria, relaxed with GGA-PBE and Cu Kα X-rays.
Intensities are scaled so that the largest is 100.

Crystal structure
a b c (Å): 5.051 5.051 8.365
angles (deg): 90.00 90.00 90.00
Fractional coordinates of all 7 atoms:
1 Ba 0.000 0.000 0.000
2 Li 0.000 0.000 0.500
3 Tl 0.000 0.500 0.310
4 Tl 0.000 0.500 0.690
5 Tl 0.500 0.000 0.310
6 Tl 0.500 0.000 0.690
7 Tl 0.500 0.500 0.000

Largest 10 diffraction maxima, by angle, 2θ from 15° to 90°:
3.571 Å, intensity 25; 3.284 Å, intensity 75; 2.788 Å, intensity 35; 2.716 Å, intensity 100; 2.525 Å, intensity 63; 1.872 Å, intensity 45; 1.786 Å, intensity 23; 1.515 Å, intensity 24; 1.504 Å, intensity 22; 1.492 Å, intensity 33

=====

No. 2
Diffraction record for Ba2Li2Tl5. The X-ray diffraction stick pattern is simulated, not measured: it uses a crystal structure in Alexandria, relaxed with GGA-PBE and Cu Kα X-rays.
Intensities are scaled so that the largest is 100.

Crystal structure
a b c (Å): 5.503 5.503 9.358
angles (deg): 90.00 90.00 90.00
Fractional coordinates of all 9 atoms:
1 Ba 0.000 0.000 0.000
2 Ba 0.000 0.000 0.500
3 Li 0.500 0.500 0.166
4 Li 0.500 0.500 0.834
5 Tl 0.000 0.500 0.256
6 Tl 0.000 0.500 0.744
7 Tl 0.500 0.000 0.256
8 Tl 0.500 0.000 0.744
9 Tl 0.500 0.500 0.500

Largest 10 diffraction maxima, by angle, 2θ from 15° to 90°:
4.744 Å, intensity 7; 2.992 Å, intensity 100; 2.752 Å, intensity 41; 2.340 Å, intensity 13; 1.946 Å, intensity 15; 1.782 Å, intensity 22; 1.631 Å, intensity 34; 1.496 Å, intensity 13; 1.448 Å, intensity 11; 1.162 Å, intensity 11

=====

No. 3
Diffraction record for Ba2Li3Tl. The X-ray diffraction stick pattern is simulated, not measured: it uses a crystal structure in Alexandria, relaxed with GGA-PBE and Cu Kα X-rays.
Intensities are scaled so that the largest is 100.

Crystal structure
a b c (Å): 11.202 6.524 6.533
angles (deg): 90.00 124.99 90.00
Fractional coordinates of all 12 atoms:
1 Ba 0.127 0.000 0.373
2 Ba 0.373 0.500 0.627
3 Ba 0.627 0.500 0.373
4 Ba 0.873 0.000 0.627
5 Li 0.000 0.500 0.500
6 Li 0.250 0.250 0.000
7 Li 0.250 0.750 0.000
8 Li 0.500 0.000 0.500
9 Li 0.750 0.250 0.000
10 Li 0.750 0.750 0.000
11 Tl 0.000 0.500 0.000
12 Tl 0.500 0.000 0.000

Largest 10 diffraction maxima, by angle, 2θ from 15° to 90°:
5.292 Å, intensity 71; 4.616 Å, intensity 25; 3.266 Å, intensity 100; 2.792 Å, intensity 33; 2.774 Å, intensity 94; 2.758 Å, intensity 15; 1.885 Å, intensity 14; 1.779 Å, intensity 17; 1.773 Å, intensity 21; 1.634 Å, intensity 14

=====

No. 4
Diffraction record for Ba3Li4Tl4. The X-ray diffraction stick pattern is simulated, not measured: it uses a crystal structure in Alexandria, relaxed with GGA-PBE and Cu Kα X-rays.
Intensities are scaled so that the largest is 100.

Crystal structure
a b c (Å): 9.449 9.449 9.449
angles (deg): 147.83 128.20 62.29
Fractional coordinates of all 11 atoms:
1 Ba 0.000 0.000 0.000
2 Ba 0.367 0.867 0.500
3 Ba 0.633 0.133 0.500
4 Li 0.009 0.327 0.682
5 Li 0.354 0.673 0.682
6 Li 0.646 0.327 0.318
7 Li 0.991 0.673 0.318
8 Tl 0.219 0.219 0.000
9 Tl 0.314 0.500 0.814
10 Tl 0.686 0.500 0.186
11 Tl 0.781 0.781 0.000

Largest 10 diffraction maxima, by angle, 2θ from 15° to 90°:
4.421 Å, intensity 32; 3.756 Å, intensity 60; 3.676 Å, intensity 34; 3.178 Å, intensity 76; 2.984 Å, intensity 100; 2.618 Å, intensity 37; 2.332 Å, intensity 26; 2.289 Å, intensity 26; 2.096 Å, intensity 25; 1.636 Å, intensity 23